Record 1
Computed powder diffraction line list of Mn2NiN2 for Cu Kα, from DFT lattice parameters and positions (PBE).
Kinematic intensities with the Lorentz-polarization factor, no thermal factor.

Top 6 peaks for 2θ from 10° to 80°, in order of rising 2θ:
(1 1 1), 2θ = 25.76°, 3.458 Å, I 64; (0 2 1), 2θ = 33.82°, 2.650 Å, I 95; (1 1 2), 2θ = 38.81°, 2.320 Å, I 100; (2 0 2), 2θ = 43.01°, 2.103 Å, I 66; (3 1 0), 2θ = 43.34°, 2.088 Å, I 83; (3 1 1), 2θ = 46.62°, 1.948 Å, I 51

Atomic structure:
a = 6.669 Å, b = 6.076 Å, c = 5.420 Å
α = 90.00°, β = 90.00°, γ = 90.00°
Space group Cmc2_1 (No. 36)
One atom of each set of equivalent atoms:
Mn (0.180, 0.150, 0.000) x8
Ni (0.000, 0.473, 0.779) x4
N (0.230, 0.106, 0.328) x8

---

Record 2
Computed powder diffraction line list of Mn2NiN2 for Cu Kα, from DFT lattice parameters and positions (PBE).
Kinematic intensities with the Lorentz-polarization factor, no thermal factor.

Top 6 peaks for 2θ from 10° to 80°, in order of rising 2θ:
(0 1 1), 2θ = 36.66°, 2.451 Å, I 100; (1 0 2), 2θ = 47.25°, 1.924 Å, I 58; (0 0 3), 2θ = 50.95°, 1.792 Å, I 17; (1 1 0), 2θ = 58.00°, 1.590 Å, I 36; (2 0 1), 2θ = 70.60°, 1.334 Å, I 13; (0 2 2), 2θ = 77.95°, 1.226 Å, I 11

Atomic structure:
a = 3.1803 Å, b = 3.1803 Å, c = 5.3766 Å
α = 90.00°, β = 90.00°, γ = 120.00°
Space group P-3m1 (No. 164)
One atom of each set of equivalent atoms:
Mn (0.3333, 0.6667, 0.3366) x2
Ni (0.0000, 0.0000, 0.0000) x1
N (0.3333, 0.6667, 0.7148) x2

---

Record 3
Computed powder diffraction line list of Mn2OsN3 for Cu Kα, from DFT lattice parameters and positions (PBE).
Kinematic intensities with the Lorentz-polarization factor, no thermal factor.

Top 6 peaks for 2θ from 10° to 80°, in order of rising 2θ:
(1 1 0), 2θ = 19.05°, 4.658 Å, I 60; (1 1 1), 2θ = 26.29°, 3.390 Å, I 63; (0 0 2), 2θ = 36.34°, 2.472 Å, I 48; (0 2 1), 2θ = 37.45°, 2.401 Å, I 49; (3 1 1), 2θ = 39.35°, 2.290 Å, I 100; (2 2 1), 2θ = 42.93°, 2.107 Å, I 43

Atomic structure:
a = 8.782 Å, b = 5.494 Å, c = 4.944 Å
α = 90.00°, β = 90.00°, γ = 90.00°
Space group Cmc2_1 (No. 36)
One atom of each set of equivalent atoms:
Mn (0.180, 0.211, 0.000) x8
Os (0.000, 0.360, 0.414) x4
N (0.000, 0.288, 0.810) x4
N (0.162, 0.107, 0.361) x8

---

Record 4
Computed powder diffraction line list of Mn3Pb3N5 for Cu Kα, from DFT lattice parameters and positions (PBE).
Kinematic intensities with the Lorentz-polarization factor, no thermal factor.

Top 6 peaks for 2θ from 10° to 80°, in order of rising 2θ:
(1 -1 2), 2θ = 29.42°, 3.036 Å, I 76; (0 2 1), 2θ = 29.87°, 2.991 Å, I 100; (1 2 -2), 2θ = 33.03°, 2.712 Å, I 96; (-2 1 1), 2θ = 33.67°, 2.662 Å, I 55; (1 0 -3), 2θ = 34.61°, 2.592 Å, I 71; (2 1 0), 2θ = 36.66°, 2.452 Å, I 45

Atomic structure:
a = 5.676 Å, b = 7.463 Å, c = 8.305 Å
α = 103.36°, β = 99.71°, γ = 96.43°
Space group P-1 (No. 2)
One atom of each set of equivalent atoms:
Mn (0.065, 0.177, 0.029) x2
Mn (0.079, 0.426, 0.723) x2
Mn (0.317, 0.509, 0.403) x2
Pb (0.239, 0.063, 0.458) x2
Pb (0.378, 0.832, 0.772) x2
Pb (0.431, 0.695, 0.135) x2
N (0.077, 0.363, 0.225) x2
N (0.119, 0.310, 0.887) x2
N (0.177, 0.713, 0.427) x2
N (0.228, 0.977, 0.030) x2
N (0.346, 0.450, 0.608) x2

---

Record 5
Computed powder diffraction line list of Mn2Pb3N4 for Cu Kα, from DFT lattice parameters and positions (PBE).
Kinematic intensities with the Lorentz-polarization factor, no thermal factor.

Top 6 peaks for 2θ from 10° to 80°, in order of rising 2θ:
(0 2 2), 2θ = 26.00°, 3.427 Å, I 61; (0 1 3), 2θ = 26.45°, 3.370 Å, I 62; (1 1 3), 2θ = 29.36°, 3.042 Å, I 100; (2 0 2), 2θ = 30.08°, 2.970 Å, I 74; (0 3 1), 2θ = 31.61°, 2.830 Å, I 81; (1 2 4), 2θ = 40.88°, 2.208 Å, I 56

Atomic structure:
a = 7.073 Å, b = 8.789 Å, c = 10.947 Å
α = 90.00°, β = 90.00°, γ = 90.00°
Space group Pnna (No. 52)
One atom of each set of equivalent atoms:
Mn (0.158, 0.250, 0.250) x4
Mn (0.250, 0.000, 0.198) x4
Pb (0.067, 0.167, 0.556) x8
Pb (0.250, 0.000, 0.809) x4
N (0.062, 0.062, 0.294) x8
N (0.191, 0.683, 0.368) x8

---

Record 6
Computed powder diffraction line list of MnPbN2 for Cu Kα, from DFT lattice parameters and positions (PBE).
Kinematic intensities with the Lorentz-polarization factor, no thermal factor.

Top 6 peaks for 2θ from 10° to 80°, in order of rising 2θ:
(1 0 1), 2θ = 26.58°, 3.353 Å, I 36; (0 0 3), 2θ = 28.01°, 3.185 Å, I 25; (1 0 2), 2θ = 31.21°, 2.865 Å, I 100; (1 1 0), 2θ = 35.45°, 2.532 Å, I 41; (1 0 5), 2θ = 54.42°, 1.686 Å, I 23; (2 1 2), 2θ = 61.02°, 1.518 Å, I 30

Atomic structure:
a = 3.581 Å, b = 3.581 Å, c = 9.556 Å
α = 90.00°, β = 90.00°, γ = 90.00°
Space group P4/nmm (No. 129, origin choice 2)
One atom of each set of equivalent atoms:
Mn (0.250, 0.250, 0.072) x2
Pb (0.250, 0.250, 0.644) x2
N (0.250, 0.250, 0.247) x2
N (0.250, 0.750, 0.000) x2

---

Record 7
Computed powder diffraction line list of MnPb2N2 for Cu Kα, from DFT lattice parameters and positions (PBE).
Kinematic intensities with the Lorentz-polarization factor, no thermal factor.

Top 6 peaks for 2θ from 10° to 80°, in order of rising 2θ:
(0 0 2), 2θ = 17.81°, 4.979 Å, I 51; (0 0 3), 2θ = 26.86°, 3.319 Å, I 100; (1 1 -1), 2θ = 33.02°, 2.713 Å, I 73; (1 1 1), 2θ = 34.40°, 2.607 Å, I 98; (1 1 -2), 2θ = 35.98°, 2.496 Å, I 50; (0 2 0), 2θ = 57.75°, 1.596 Å, I 42

Atomic structure:
a = 5.527 Å, b = 3.196 Å, c = 10.077 Å
α = 90.00°, β = 98.80°, γ = 90.00°
Space group C2/m (No. 12)
One atom of each set of equivalent atoms:
Mn (0.000, 0.000, 0.000) x2
Pb (0.241, 0.000, 0.682) x4
N (0.192, 0.500, 0.093) x4

---

Record 8
Computed powder diffraction line list of MnPbN2 for Cu Kα, from DFT lattice parameters and positions (PBE).
Kinematic intensities with the Lorentz-polarization factor, no thermal factor.

Top 6 peaks for 2θ from 10° to 80°, in order of rising 2θ:
(0 1 1), 2θ = 20.39°, 4.355 Å, I 29; (1 2 0), 2θ = 27.77°, 3.213 Å, I 17; (1 2 1), 2θ = 32.62°, 2.745 Å, I 100; (0 0 2), 2θ = 33.93°, 2.642 Å, I 29; (2 0 1), 2θ = 35.10°, 2.557 Å, I 28; (1 2 3), 2θ = 59.89°, 1.544 Å, I 19

Atomic structure:
a = 5.843 Å, b = 7.693 Å, c = 5.284 Å
α = 90.00°, β = 90.00°, γ = 90.00°
Space group Pna2_1 (No. 33)
One atom of each set of equivalent atoms:
Mn (0.010, 0.127, 0.000) x4
Pb (0.086, 0.631, 0.017) x4
N (0.003, 0.076, 0.331) x4
N (0.238, 0.748, 0.421) x4